Record 1
The following is a calculated powder X-ray diffraction pattern of Ni3S. It was derived from a crystal structure in the Materials Project, relaxed with GGA-PBE, using a wavelength of 1.5418 Å.

Cell and atoms:
Cell lengths 5.086, 5.086, 4.016 Å; angles 90.00, 90.00, 120.00 degrees
Atoms (fractional coordinates):
Ni (0.167, 0.334, 0.250)
Ni (0.167, 0.833, 0.250)
Ni (0.334, 0.167, 0.750)
Ni (0.666, 0.833, 0.250)
Ni (0.833, 0.167, 0.750)
Ni (0.833, 0.666, 0.750)
S (0.333, 0.667, 0.750)
S (0.667, 0.333, 0.250)

Most intense lines, 10 to 90 degrees two-theta, by angle:
d 4.405, 20.16 deg, rel. 27
d 2.968, 30.11 deg, rel. 71
d 2.543, 35.29 deg, rel. 32
d 2.202, 40.98 deg, rel. 255
d 2.008, 45.15 deg, rel. 253
d 1.931, 47.06 deg, rel. 1000
d 1.484, 62.61 deg, rel. 133
d 1.271, 74.65 deg, rel. 152
d 1.144, 84.74 deg, rel. 162
d 1.101, 88.87 deg, rel. 24

Record 2
The following is a calculated powder X-ray diffraction pattern of RbTb2Cl7. It was derived from a crystal structure in the Materials Project, relaxed with GGA-PBE, using a wavelength of 1.5418 Å.

Cell and atoms:
Cell lengths 13.580, 7.026, 12.734 Å; angles 90.00, 90.00, 90.00 degrees
Atoms (fractional coordinates):
Rb (0.041, 0.250, 0.196)
Rb (0.459, 0.750, 0.696)
Rb (0.541, 0.250, 0.304)
Rb (0.959, 0.750, 0.804)
Tb (0.237, 0.250, 0.540)
Tb (0.249, 0.250, 0.843)
Tb (0.251, 0.750, 0.343)
Tb (0.263, 0.750, 0.040)
Tb (0.737, 0.250, 0.960)
Tb (0.749, 0.250, 0.657)
Tb (0.751, 0.750, 0.157)
Tb (0.763, 0.750, 0.460)
Cl (0.111, 0.750, 0.189)
Cl (0.123, 0.011, 0.422)
Cl (0.123, 0.489, 0.422)
Cl (0.134, 0.009, 0.960)
Cl (0.134, 0.491, 0.960)
Cl (0.176, 0.010, 0.693)
Cl (0.176, 0.490, 0.693)
Cl (0.324, 0.510, 0.193)
Cl (0.324, 0.990, 0.193)
Cl (0.366, 0.509, 0.460)
Cl (0.366, 0.991, 0.460)
Cl (0.377, 0.511, 0.922)
Cl (0.377, 0.989, 0.922)
Cl (0.389, 0.250, 0.689)
Cl (0.611, 0.750, 0.311)
Cl (0.623, 0.011, 0.078)
Cl (0.623, 0.489, 0.078)
Cl (0.634, 0.009, 0.540)
Cl (0.634, 0.491, 0.540)
Cl (0.676, 0.010, 0.807)
Cl (0.676, 0.490, 0.807)
Cl (0.824, 0.510, 0.307)
Cl (0.824, 0.990, 0.307)
Cl (0.866, 0.509, 0.040)
Cl (0.866, 0.991, 0.040)
Cl (0.877, 0.511, 0.578)
Cl (0.877, 0.989, 0.578)
Cl (0.889, 0.250, 0.811)

Most intense lines, 10 to 90 degrees two-theta, by angle:
d 6.790, 13.04 deg, rel. 876
d 6.152, 14.40 deg, rel. 283
d 4.559, 19.47 deg, rel. 1000
d 3.510, 25.37 deg, rel. 740
d 2.833, 31.58 deg, rel. 332
d 2.604, 34.44 deg, rel. 342
d 2.441, 36.82 deg, rel. 438
d 2.324, 38.75 deg, rel. 403
d 2.175, 41.51 deg, rel. 303
d 2.027, 44.70 deg, rel. 186

Record 3
The following is a calculated powder X-ray diffraction pattern of TlAuO2. It was derived from a crystal structure in the Materials Project, relaxed with GGA-PBE, using a wavelength of 1.5418 Å.

Cell and atoms:
Cell lengths 3.540, 3.540, 12.665 Å; angles 90.00, 90.00, 120.00 degrees
Atoms (fractional coordinates):
Tl (0.000, 0.000, 0.000)
Tl (0.000, 0.000, 0.500)
Au (0.333, 0.667, 0.250)
Au (0.667, 0.333, 0.750)
O (0.333, 0.667, 0.088)
O (0.333, 0.667, 0.412)
O (0.667, 0.333, 0.588)
O (0.667, 0.333, 0.912)

Most intense lines, 10 to 90 degrees two-theta, by angle:
d 3.166, 28.18 deg, rel. 399
d 2.979, 29.99 deg, rel. 510
d 2.759, 32.45 deg, rel. 1000
d 2.480, 36.21 deg, rel. 182
d 1.953, 46.51 deg, rel. 145
d 1.770, 51.65 deg, rel. 296
d 1.738, 52.65 deg, rel. 301
d 1.545, 59.87 deg, rel. 307
d 1.490, 62.33 deg, rel. 160
d 1.140, 85.13 deg, rel. 141

Record 4
The following is a calculated powder X-ray diffraction pattern of Tb3Co4Ge13. It was derived from a crystal structure in the Materials Project, relaxed with GGA-PBE, using a wavelength of 1.5418 Å.

Cell and atoms:
Cell lengths 8.782, 8.782, 8.782 Å; angles 90.00, 90.00, 90.00 degrees
Atoms (fractional coordinates):
Tb (0.000, 0.250, 0.500)
Tb (0.000, 0.750, 0.500)
Tb (0.250, 0.500, 0.000)
Tb (0.500, 0.000, 0.250)
Tb (0.500, 0.000, 0.750)
Tb (0.750, 0.500, 0.000)
Co (0.250, 0.250, 0.250)
Co (0.250, 0.250, 0.750)
Co (0.250, 0.750, 0.250)
Co (0.250, 0.750, 0.750)
Co (0.750, 0.250, 0.250)
Co (0.750, 0.250, 0.750)
Co (0.750, 0.750, 0.250)
Co (0.750, 0.750, 0.750)
Ge (0.000, 0.000, 0.000)
Ge (0.000, 0.305, 0.153)
Ge (0.000, 0.305, 0.847)
Ge (0.000, 0.695, 0.153)
Ge (0.000, 0.695, 0.847)
Ge (0.153, 0.000, 0.305)
Ge (0.153, 0.000, 0.695)
Ge (0.195, 0.500, 0.347)
Ge (0.195, 0.500, 0.653)
Ge (0.305, 0.153, 0.000)
Ge (0.305, 0.847, 0.000)
Ge (0.347, 0.195, 0.500)
Ge (0.347, 0.805, 0.500)
Ge (0.500, 0.347, 0.195)
Ge (0.500, 0.347, 0.805)
Ge (0.500, 0.500, 0.500)
Ge (0.500, 0.653, 0.195)
Ge (0.500, 0.653, 0.805)
Ge (0.653, 0.195, 0.500)
Ge (0.653, 0.805, 0.500)
Ge (0.695, 0.153, 0.000)
Ge (0.695, 0.847, 0.000)
Ge (0.805, 0.500, 0.347)
Ge (0.805, 0.500, 0.653)
Ge (0.847, 0.000, 0.305)
Ge (0.847, 0.000, 0.695)

Most intense lines, 10 to 90 degrees two-theta, by angle:
d 3.927, 22.64 deg, rel. 130
d 2.436, 36.91 deg, rel. 1000
d 2.347, 38.35 deg, rel. 383
d 2.195, 41.12 deg, rel. 241
d 1.793, 50.94 deg, rel. 93
d 1.631, 56.43 deg, rel. 94
d 1.506, 61.58 deg, rel. 116
d 1.425, 65.53 deg, rel. 145
d 1.324, 71.23 deg, rel. 141
d 1.206, 79.45 deg, rel. 94

Record 5
The following is a calculated powder X-ray diffraction pattern of HoAl3Cu. It was derived from a crystal structure in the Materials Project, relaxed with GGA-PBE, using a wavelength of 1.5418 Å.

Cell and atoms:
Cell lengths 4.131, 4.131, 10.683 Å; angles 90.00, 90.00, 90.00 degrees
Atoms (fractional coordinates):
Ho (0.000, 0.000, 0.000)
Ho (0.500, 0.500, 0.500)
Al (0.000, 0.000, 0.594)
Al (0.000, 0.500, 0.253)
Al (0.000, 0.500, 0.753)
Al (0.500, 0.000, 0.253)
Al (0.500, 0.000, 0.753)
Al (0.500, 0.500, 0.094)
Cu (0.000, 0.000, 0.375)
Cu (0.500, 0.500, 0.875)

Most intense lines, 10 to 90 degrees two-theta, by angle:
d 5.341, 16.60 deg, rel. 436
d 3.853, 23.09 deg, rel. 483
d 2.921, 30.61 deg, rel. 546
d 2.697, 33.22 deg, rel. 1000
d 2.563, 35.01 deg, rel. 970
d 2.065, 43.83 deg, rel. 473
d 1.898, 47.94 deg, rel. 444
d 1.640, 56.09 deg, rel. 442
d 1.397, 66.96 deg, rel. 320
d 1.269, 74.83 deg, rel. 211

Record 6
The following is a calculated powder X-ray diffraction pattern of Cd2SiO4. It was derived from a crystal structure in the Materials Project, relaxed with GGA-PBE, using a wavelength of 1.5418 Å.

Cell and atoms:
Cell lengths 7.819, 6.734, 5.867 Å; angles 76.36, 56.82, 46.82 degrees
Atoms (fractional coordinates):
Cd (0.061, 0.689, 0.061)
Cd (0.311, 0.939, 0.311)
Cd (0.689, 0.061, 0.689)
Cd (0.939, 0.311, 0.939)
Si (0.375, 0.375, 0.375)
Si (0.625, 0.625, 0.625)
O (0.190, 0.707, 0.353)
O (0.249, 0.353, 0.707)
O (0.293, 0.810, 0.751)
O (0.353, 0.249, 0.190)
O (0.647, 0.751, 0.810)
O (0.707, 0.190, 0.249)
O (0.751, 0.647, 0.293)
O (0.810, 0.293, 0.647)

Most intense lines, 10 to 90 degrees two-theta, by angle:
d 3.847, 23.12 deg, rel. 461
d 3.001, 29.77 deg, rel. 509
d 2.847, 31.42 deg, rel. 1000
d 2.721, 32.92 deg, rel. 806
d 2.607, 34.40 deg, rel. 226
d 2.364, 38.06 deg, rel. 334
d 1.968, 46.12 deg, rel. 225
d 1.857, 49.04 deg, rel. 439
d 1.720, 53.26 deg, rel. 336
d 1.673, 54.86 deg, rel. 232

Record 7
The following is a calculated powder X-ray diffraction pattern of Zn7Sb8Ru9. It was derived from a crystal structure in the Materials Project, relaxed with GGA-PBE, using a wavelength of 1.5418 Å.

Cell and atoms:
Cell lengths 8.494, 8.494, 8.494 Å; angles 60.00, 60.00, 60.00 degrees
Atoms (fractional coordinates):
Zn (0.000, 0.000, 0.000)
Zn (0.000, 0.000, 0.500)
Zn (0.000, 0.500, 0.000)
Zn (0.000, 0.500, 0.500)
Zn (0.500, 0.000, 0.000)
Zn (0.500, 0.000, 0.500)
Zn (0.500, 0.500, 0.000)
Sb (0.250, 0.250, 0.250)
Sb (0.274, 0.274, 0.726)
Sb (0.274, 0.726, 0.274)
Sb (0.274, 0.726, 0.726)
Sb (0.726, 0.274, 0.274)
Sb (0.726, 0.274, 0.726)
Sb (0.726, 0.726, 0.274)
Sb (0.750, 0.750, 0.750)
Ru (0.124, 0.124, 0.124)
Ru (0.124, 0.124, 0.629)
Ru (0.124, 0.629, 0.124)
Ru (0.371, 0.876, 0.876)
Ru (0.500, 0.500, 0.500)
Ru (0.629, 0.124, 0.124)
Ru (0.876, 0.371, 0.876)
Ru (0.876, 0.876, 0.371)
Ru (0.876, 0.876, 0.876)

Most intense lines, 10 to 90 degrees two-theta, by angle:
d 6.935, 12.76 deg, rel. 65
d 3.622, 24.58 deg, rel. 138
d 3.468, 25.69 deg, rel. 53
d 3.003, 29.75 deg, rel. 124
d 2.756, 32.49 deg, rel. 142
d 2.312, 38.96 deg, rel. 163
d 2.123, 42.58 deg, rel. 1000
d 1.501, 61.79 deg, rel. 151
d 1.226, 77.93 deg, rel. 279
d 1.161, 83.19 deg, rel. 71

Record 8
The following is a calculated powder X-ray diffraction pattern of LiSiBiO4. It was derived from a crystal structure in the Materials Project, relaxed with GGA-PBE, using a wavelength of 1.5418 Å.

Cell and atoms:
Cell lengths 7.963, 18.347, 5.034 Å; angles 90.00, 90.00, 90.00 degrees
Atoms (fractional coordinates):
Li (0.016, 0.059, 0.000)
Li (0.176, 0.645, 0.512)
Li (0.324, 0.145, 0.012)
Li (0.484, 0.559, 0.500)
Li (0.516, 0.441, 0.000)
Li (0.676, 0.855, 0.512)
Li (0.824, 0.355, 0.012)
Li (0.984, 0.941, 0.500)
Si (0.219, 0.320, 0.995)
Si (0.244, 0.069, 0.504)
Si (0.256, 0.569, 0.004)
Si (0.281, 0.820, 0.495)
Si (0.719, 0.180, 0.995)
Si (0.744, 0.431, 0.504)
Si (0.756, 0.931, 0.004)
Si (0.781, 0.680, 0.495)
Bi (0.044, 0.235, 0.556)
Bi (0.186, 0.452, 0.585)
Bi (0.314, 0.952, 0.085)
Bi (0.456, 0.735, 0.056)
Bi (0.544, 0.265, 0.556)
Bi (0.686, 0.048, 0.585)
Bi (0.814, 0.548, 0.085)
Bi (0.956, 0.765, 0.056)
O (0.052, 0.355, 0.845)
O (0.077, 0.533, 0.881)
O (0.104, 0.021, 0.340)
O (0.114, 0.861, 0.377)
O (0.205, 0.320, 0.321)
O (0.220, 0.234, 0.883)
O (0.233, 0.155, 0.405)
O (0.237, 0.059, 0.824)
O (0.263, 0.559, 0.324)
O (0.267, 0.655, 0.905)
O (0.280, 0.734, 0.383)
O (0.295, 0.820, 0.821)
O (0.386, 0.361, 0.877)
O (0.396, 0.521, 0.840)
O (0.423, 0.033, 0.381)
O (0.448, 0.855, 0.345)
O (0.552, 0.145, 0.845)
O (0.577, 0.967, 0.881)
O (0.604, 0.479, 0.340)
O (0.614, 0.639, 0.377)
O (0.705, 0.180, 0.321)
O (0.720, 0.266, 0.883)
O (0.733, 0.345, 0.405)
O (0.737, 0.441, 0.824)
O (0.763, 0.941, 0.324)
O (0.767, 0.845, 0.905)
O (0.780, 0.766, 0.383)
O (0.795, 0.680, 0.821)
O (0.886, 0.139, 0.877)
O (0.896, 0.979, 0.840)
O (0.923, 0.467, 0.381)
O (0.948, 0.645, 0.345)

Most intense lines, 10 to 90 degrees two-theta, by angle:
d 4.854, 18.28 deg, rel. 1000
d 4.587, 19.35 deg, rel. 399
d 4.145, 21.44 deg, rel. 393
d 3.652, 24.37 deg, rel. 509
d 3.493, 25.50 deg, rel. 329
d 3.121, 28.60 deg, rel. 611
d 2.965, 30.14 deg, rel. 840
d 2.781, 32.19 deg, rel. 806
d 2.072, 43.68 deg, rel. 311
d 1.815, 50.26 deg, rel. 439

Record 9
The following is a calculated powder X-ray diffraction pattern of K3ClO. It was derived from a crystal structure in the Materials Project, relaxed with GGA-PBE, using a wavelength of 1.5418 Å.

Cell and atoms:
Cell lengths 5.276, 7.374, 7.374 Å; angles 89.95, 90.00, 90.00 degrees
Atoms (fractional coordinates):
K (0.000, 0.000, 0.000)
K (0.000, 0.412, 0.412)
K (0.000, 0.508, 0.920)
K (0.000, 0.920, 0.508)
K (0.500, 0.231, 0.729)
K (0.500, 0.729, 0.231)
Cl (0.500, 0.203, 0.203)
Cl (0.500, 0.705, 0.705)
O (0.000, 0.214, 0.712)
O (0.000, 0.712, 0.214)

Most intense lines, 10 to 90 degrees two-theta, by angle:
d 3.298, 27.04 deg, rel. 133
d 3.022, 29.56 deg, rel. 1000
d 2.796, 32.01 deg, rel. 165
d 2.638, 33.99 deg, rel. 312
d 2.607, 34.40 deg, rel. 442
d 1.854, 49.13 deg, rel. 277
d 1.844, 49.44 deg, rel. 94
d 1.587, 58.12 deg, rel. 120
d 1.574, 58.66 deg, rel. 106
d 1.511, 61.35 deg, rel. 89